Structure and theoretical powder diffraction line list of Cu3TeO6 (a structure optimized by DFT (PBE); Cu Kα, 1.54184 Å).
Peak positions follow from Bragg's law for the DFT cell and can differ from measured ones.

Cell and atoms:
Unit cell a=9.6749 b=9.6749 c=9.6749 alpha=90.00 beta=90.00 gamma=90.00
Space group Ia-3 (No. 206)
Inequivalent atoms, fractional coordinates:
Cu 0.0000 0.2500 0.4706 x24
Te 0.2500 0.2500 0.2500 x8
O 0.1004 0.1323 0.3281 x48

The 10 most intense peaks (2θ from 5° to 70°), by angle:
| two_theta | I (rel.) | index |
| --- | --- | --- |
| 18.34 | 155 | 2 0 0 |
| 22.51 | 78 | 2 1 1 |
| 26.05 | 61 | 2 2 0 |
| 32.05 | 1000 | 2 2 2 |
| 37.17 | 292 | 4 0 0 |
| 45.95 | 65 | 4 2 2 |
| 47.95 | 80 | 4 3 1 |
| 53.58 | 382 | 4 4 0 |
| 63.82 | 315 | 6 2 2 |
| 67.02 | 70 | 4 4 4 |